The following is a theoretical XRD peak list of HoAl3C3. It was derived from a structure optimized by DFT (PBE), using a wavelength of 1.5418 Å.
Neutral-atom scattering factors, no anomalous dispersion.

The 6 most intense peaks (2θ = 10–80°), in order of rising 2θ:
10.24°, I = 100; 20.55°, I = 24; 31.86°, I = 93; 36.72°, I = 61; 43.78°, I = 39; 53.44°, I = 24

Atomic structure:
Cell: 3.4290 3.4290 17.2849 Å, 90.00 90.00 120.00°
Element x y z (fractional)
Ho 0.0000 0.0000 0.0000
Ho 0.0000 0.0000 0.5000
Al 0.3333 0.6667 0.1332
Al 0.3333 0.6667 0.3668
Al 0.3333 0.6667 0.7500
Al 0.6667 0.3333 0.2500
Al 0.6667 0.3333 0.6332
Al 0.6667 0.3333 0.8668
C 0.3333 0.6667 0.2500
C 0.3333 0.6667 0.5924
C 0.3333 0.6667 0.9076
C 0.6667 0.3333 0.0924
C 0.6667 0.3333 0.4076
C 0.6667 0.3333 0.7500

The following is a theoretical XRD peak list of Ho8AlC4. It was derived from a structure optimized by DFT (PBE), using a wavelength of 1.5418 Å.
Neutral-atom scattering factors, no anomalous dispersion.

The 6 most intense peaks (2θ = 10–80°), in order of rising 2θ:
31.07°, I = 86; 32.39°, I = 100; 32.91°, I = 41; 33.68°, I = 94; 35.28°, I = 36; 52.87°, I = 38

Atomic structure:
Cell: 8.8573 8.8573 11.8632 Å, 130.65 130.65 23.44°
Element x y z (fractional)
Ho 0.0421 0.0421 0.2367
Ho 0.2997 0.2997 0.4358
Ho 0.3386 0.3386 0.1639
Ho 0.3660 0.3660 0.9081
Ho 0.6340 0.6340 0.0919
Ho 0.6614 0.6614 0.8361
Ho 0.7003 0.7003 0.5642
Ho 0.9579 0.9579 0.7633
Al 0.0000 0.0000 0.5000
C 0.1493 0.1493 0.9655
C 0.3326 0.3326 0.6704
C 0.6674 0.6674 0.3296
C 0.8507 0.8507 0.0345

The following is a theoretical XRD peak list of AlIn2SiC. It was derived from a structure optimized by DFT (PBE), using a wavelength of 1.5418 Å.
Neutral-atom scattering factors, no anomalous dispersion.

The 6 most intense peaks (2θ = 10–80°), in order of rising 2θ:
22.81°, I = 52; 32.48°, I = 71; 35.04°, I = 100; 42.23°, I = 27; 46.60°, I = 25; 59.61°, I = 42

Atomic structure:
Cell: 5.5130 5.5130 3.3958 Å, 90.00 90.00 90.00°
Element x y z (fractional)
Al 0.0000 0.0000 0.0000
In 0.0000 0.5000 0.5000
In 0.5000 0.0000 0.5000
Si 0.5000 0.5000 0.0000
C 0.5000 0.5000 0.5000

The following is a theoretical XRD peak list of Al2IrOsC. It was derived from a structure optimized by DFT (PBE), using a wavelength of 1.5418 Å.
Neutral-atom scattering factors, no anomalous dispersion.

The 6 most intense peaks (2θ = 10–80°), in order of rising 2θ:
23.31°, I = 49; 30.45°, I = 59; 38.70°, I = 100; 43.61°, I = 39; 50.02°, I = 27; 76.78°, I = 28

Atomic structure:
Cell: 4.1513 4.1513 3.8163 Å, 90.00 90.00 90.00°
Element x y z (fractional)
Al 0.0000 0.5000 0.0000
Al 0.5000 0.0000 0.0000
Ir 0.0000 0.0000 0.5000
Os 0.5000 0.5000 0.5000
C 0.0000 0.0000 0.0000

The following is a theoretical XRD peak list of KAlC2. It was derived from a structure optimized by DFT (PBE), using a wavelength of 1.5418 Å.
Neutral-atom scattering factors, no anomalous dispersion.

The 6 most intense peaks (2θ = 10–80°), in order of rising 2θ:
31.04°, I = 100; 39.56°, I = 24; 49.00°, I = 25; 51.17°, I = 22; 64.72°, I = 16; 66.50°, I = 19

Atomic structure:
Cell: 4.5562 4.5562 12.8679 Å, 90.00 90.00 90.00°
Element x y z (fractional)
K 0.0000 0.2500 0.3750
K 0.0000 0.7500 0.6250
K 0.5000 0.2500 0.1250
K 0.5000 0.7500 0.8750
Al 0.0000 0.2500 0.8750
Al 0.0000 0.7500 0.1250
Al 0.5000 0.2500 0.6250
Al 0.5000 0.7500 0.3750
C 0.0000 0.0000 0.0000
C 0.0000 0.5000 0.0000
C 0.2500 0.2500 0.7500
C 0.2500 0.7500 0.2500
C 0.5000 0.0000 0.5000
C 0.5000 0.5000 0.5000
C 0.7500 0.2500 0.7500
C 0.7500 0.7500 0.2500

The following is a theoretical XRD peak list of LaAl2Tc2C. It was derived from a structure optimized by DFT (PBE), using a wavelength of 1.5418 Å.
Neutral-atom scattering factors, no anomalous dispersion.

The 6 most intense peaks (2θ = 10–80°), in order of rising 2θ:
26.32°, I = 25; 31.35°, I = 25; 33.98°, I = 100; 38.11°, I = 26; 42.99°, I = 38; 73.01°, I = 21

Atomic structure:
Cell: 4.2077 4.2077 5.7063 Å, 90.00 90.00 90.00°
Element x y z (fractional)
La 0.0000 0.0000 0.0000
Al 0.5000 0.5000 0.2348
Al 0.5000 0.5000 0.7652
Tc 0.0000 0.5000 0.5000
Tc 0.5000 0.0000 0.5000
C 0.0000 0.0000 0.5000

The following is a theoretical XRD peak list of LiSc2Al2C2O2. It was derived from a structure optimized by DFT (PBE), using a wavelength of 1.5418 Å.
Neutral-atom scattering factors, no anomalous dispersion.

The 6 most intense peaks (2θ = 10–80°), in order of rising 2θ:
17.41°, I = 30; 30.43°, I = 100; 33.83°, I = 40; 37.41°, I = 52; 48.27°, I = 31; 53.72°, I = 32

Atomic structure:
Cell: 3.4361 3.4361 10.2950 Å, 96.91 96.91 66.56°
Element x y z (fractional)
Li 0.0000 0.0000 0.0000
Sc 0.0000 0.0000 0.5000
Sc 0.5000 0.5000 0.0000
Al 0.2966 0.2966 0.2944
Al 0.7034 0.7034 0.7056
C 0.3526 0.3526 0.6429
C 0.6474 0.6474 0.3571
O 0.2332 0.2332 0.1140
O 0.7668 0.7668 0.8860

The following is a theoretical XRD peak list of LiSc2Al2C2O2. It was derived from a structure optimized by DFT (PBE), using a wavelength of 1.5418 Å.
Neutral-atom scattering factors, no anomalous dispersion.

The 6 most intense peaks (2θ = 10–80°), in order of rising 2θ:
17.64°, I = 29; 31.19°, I = 100; 34.17°, I = 50; 37.65°, I = 57; 49.08°, I = 33; 54.97°, I = 40

Atomic structure:
Cell: 3.3644 3.3644 10.2181 Å, 98.47 98.47 66.97°
Element x y z (fractional)
Li 0.0000 0.0000 0.0000
Sc 0.0000 0.0000 0.5000
Sc 0.5000 0.5000 0.0000
Al 0.2361 0.2361 0.2267
Al 0.7639 0.7639 0.7733
C 0.1293 0.1293 0.8370
C 0.8707 0.8707 0.1630
O 0.3062 0.3062 0.4072
O 0.6938 0.6938 0.5928

The following is a theoretical XRD peak list of Al5C3N. It was derived from a structure optimized by DFT (PBE), using a wavelength of 1.5418 Å.
Neutral-atom scattering factors, no anomalous dispersion.

The 6 most intense peaks (2θ = 10–80°), in order of rising 2θ:
31.16°, I = 96; 37.74°, I = 58; 40.44°, I = 59; 43.13°, I = 53; 54.88°, I = 100; 72.24°, I = 65

Atomic structure:
Cell: 3.3456 3.3456 20.9720 Å, 90.00 90.00 120.00°
Element x y z (fractional)
Al 0.0000 0.0000 0.1536
Al 0.0000 0.0000 0.3464
Al 0.0000 0.0000 0.6536
Al 0.0000 0.0000 0.8464
Al 0.3333 0.6667 0.0478
Al 0.3333 0.6667 0.2500
Al 0.3333 0.6667 0.4522
Al 0.6667 0.3333 0.5478
Al 0.6667 0.3333 0.7500
Al 0.6667 0.3333 0.9522
C 0.0000 0.0000 0.0000
C 0.0000 0.0000 0.5000
C 0.3333 0.6667 0.1399
C 0.3333 0.6667 0.3601
C 0.6667 0.3333 0.6399
C 0.6667 0.3333 0.8601
N 0.0000 0.0000 0.2500
N 0.0000 0.0000 0.7500

The following is a theoretical XRD peak list of Al4C2N. It was derived from a structure optimized by DFT (PBE), using a wavelength of 1.5418 Å.
Neutral-atom scattering factors, no anomalous dispersion.

The 6 most intense peaks (2θ = 10–80°), in order of rising 2θ:
36.34°, I = 100; 41.94°, I = 67; 42.75°, I = 32; 60.82°, I = 26; 61.44°, I = 52; 72.96°, I = 26

Atomic structure:
Cell: 6.0923 6.0923 8.4612 Å, 90.00 90.00 90.00°
Element x y z (fractional)
Al 0.0160 0.2552 0.2588
Al 0.0160 0.7448 0.2412
Al 0.2525 0.4827 0.4922
Al 0.2525 0.5173 0.0078
Al 0.2552 0.0160 0.4912
Al 0.2552 0.9840 0.0088
Al 0.4827 0.2525 0.2578
Al 0.4827 0.7475 0.2422
Al 0.5173 0.2525 0.7422
Al 0.5173 0.7475 0.7578
Al 0.7448 0.0160 0.5088
Al 0.7448 0.9840 0.9912
Al 0.7475 0.4827 0.5078
Al 0.7475 0.5173 0.9922
Al 0.9840 0.2552 0.7412
Al 0.9840 0.7448 0.7588
C 0.2459 0.5000 0.2500
C 0.2492 0.2492 0.8750
C 0.2492 0.7508 0.6250
C 0.5000 0.2459 0.5000
C 0.5000 0.7541 0.0000
C 0.7508 0.2492 0.1250
C 0.7508 0.7508 0.3750
C 0.7541 0.5000 0.7500
N 0.0000 0.2312 0.5000
N 0.0000 0.7688 0.0000
N 0.2312 0.0000 0.2500
N 0.7688 0.0000 0.7500

The following is a theoretical XRD peak list of Al4CN3O. It was derived from a structure optimized by DFT (PBE), using a wavelength of 1.5418 Å.
Neutral-atom scattering factors, no anomalous dispersion.

The 6 most intense peaks (2θ = 10–80°), in order of rising 2θ:
20.28°, I = 100; 22.15°, I = 89; 26.54°, I = 68; 28.02°, I = 95; 35.80°, I = 76; 37.30°, I = 60

Atomic structure:
Cell: 5.3961 5.3961 9.0663 Å, 90.00 90.00 112.05°
Element x y z (fractional)
Al 0.0490 0.9510 0.5000
Al 0.1045 0.4513 0.7143
Al 0.4034 0.5966 0.4154
Al 0.4513 0.1045 0.2143
Al 0.5487 0.8955 0.7143
Al 0.5966 0.4034 0.9154
Al 0.8955 0.5487 0.2143
Al 0.9510 0.0490 0.0000
C 0.1963 0.8037 0.3281
C 0.8037 0.1963 0.8281
N 0.1691 0.3212 0.5308
N 0.1820 0.8180 0.6601
N 0.3212 0.1691 0.0308
N 0.6788 0.8309 0.5308
N 0.8180 0.1820 0.1601
N 0.8309 0.6788 0.0308
O 0.4357 0.5643 0.8000
O 0.5643 0.4357 0.3000

> Number 6 is which compound?

LaAl2Tc2C